Theoretical powder diffraction line list of Nd2SmTl2Zn2 for Cu Kα (weighted mean of Kα1 and Kα2), from a structure optimized by DFT (GGA-PBE).
Lines closer than 0.1° are merged.

Structure:
a = 9.893 Å, b = 9.893 Å, c = 9.893 Å
α = 28.03°, β = 28.03°, γ = 28.03°
Fractional coordinates of all 7 atoms:
Nd  0.127  0.127  0.127
Nd  0.873  0.873  0.873
Sm  0.000  0.000  0.000
Tl  0.265  0.265  0.265
Tl  0.735  0.735  0.735
Zn  0.394  0.394  0.394
Zn  0.606  0.606  0.606

Top 10 peaks for 15 to 90 degrees two-theta, most intense first:
| d (Å) | I (rel.) |
| --- | --- |
| 2.396 | 100 |
| 2.703 | 96 |
| 2.906 | 67 |
| 1.489 | 38 |
| 1.793 | 29 |
| 1.436 | 28 |
| 1.849 | 18 |
| 1.383 | 18 |
| 3.984 | 18 |
| 4.107 | 17 |

***

Theoretical powder diffraction line list of Nd6Sm5Tm2 for Cu Kα (weighted mean of Kα1 and Kα2), from a structure optimized by DFT (GGA-PBE).
Lines closer than 0.1° are merged.

Structure:
a = 11.764 Å, b = 20.882 Å, c = 3.638 Å
α = 90.00°, β = 90.00°, γ = 90.00°
Fractional coordinates of all 26 atoms:
Nd  0.062  0.081  0.000
Nd  0.083  0.368  0.000
Nd  0.173  0.639  0.500
Nd  0.327  0.139  0.500
Nd  0.417  0.868  0.000
Nd  0.438  0.581  0.000
Nd  0.562  0.419  0.000
Nd  0.583  0.132  0.000
Nd  0.673  0.861  0.500
Nd  0.827  0.361  0.500
Nd  0.917  0.632  0.000
Nd  0.938  0.919  0.000
Sm  0.000  0.500  0.500
Sm  0.089  0.227  0.500
Sm  0.197  0.945  0.500
Sm  0.303  0.445  0.500
Sm  0.411  0.727  0.500
Sm  0.500  0.000  0.500
Sm  0.589  0.273  0.500
Sm  0.697  0.555  0.500
Sm  0.803  0.055  0.500
Sm  0.911  0.773  0.500
Tm  0.168  0.790  0.000
Tm  0.332  0.290  0.000
Tm  0.668  0.710  0.000
Tm  0.832  0.210  0.000

Top 10 peaks for 15 to 90 degrees two-theta, most intense first:
| d (Å) | I (rel.) |
| --- | --- |
| 2.892 | 100 |
| 2.828 | 90 |
| 2.912 | 49 |
| 2.489 | 35 |
| 2.662 | 35 |
| 1.819 | 18 |
| 1.540 | 16 |
| 1.543 | 15 |
| 2.859 | 14 |
| 2.603 | 14 |

***

Theoretical powder diffraction line list of Nd5Sm6Tm2 for Cu Kα (weighted mean of Kα1 and Kα2), from a structure optimized by DFT (GGA-PBE).
Lines closer than 0.1° are merged.

Structure:
a = 11.752 Å, b = 20.840 Å, c = 3.634 Å
α = 90.00°, β = 90.00°, γ = 90.00°
Fractional coordinates of all 26 atoms:
Nd  0.000  0.000  0.000
Nd  0.086  0.273  0.000
Nd  0.197  0.554  0.000
Nd  0.303  0.054  0.000
Nd  0.414  0.773  0.000
Nd  0.500  0.500  0.000
Nd  0.586  0.227  0.000
Nd  0.697  0.946  0.000
Nd  0.803  0.446  0.000
Nd  0.914  0.727  0.000
Sm  0.063  0.419  0.500
Sm  0.082  0.132  0.500
Sm  0.174  0.861  0.000
Sm  0.326  0.361  0.000
Sm  0.418  0.632  0.500
Sm  0.437  0.919  0.500
Sm  0.563  0.081  0.500
Sm  0.582  0.368  0.500
Sm  0.674  0.639  0.000
Sm  0.826  0.139  0.000
Sm  0.918  0.868  0.500
Sm  0.937  0.581  0.500
Tm  0.170  0.711  0.500
Tm  0.330  0.211  0.500
Tm  0.670  0.789  0.500
Tm  0.830  0.289  0.500

Top 10 peaks for 15 to 90 degrees two-theta, most intense first:
| d (Å) | I (rel.) |
| --- | --- |
| 2.888 | 100 |
| 2.824 | 88 |
| 2.909 | 51 |
| 2.486 | 36 |
| 2.658 | 35 |
| 1.817 | 18 |
| 1.541 | 16 |
| 1.538 | 16 |
| 1.786 | 15 |
| 2.599 | 15 |

***

Theoretical powder diffraction line list of NdSm4Tm2 for Cu Kα (weighted mean of Kα1 and Kα2), from a structure optimized by DFT (GGA-PBE).
Lines closer than 0.1° are merged.

Structure:
a = 12.503 Å, b = 6.780 Å, c = 13.475 Å
α = 67.07°, β = 29.96°, γ = 82.97°
Fractional coordinates of all 14 atoms:
Nd  0.000  0.000  0.000
Nd  0.250  0.250  0.250
Sm  0.081  0.501  0.132
Sm  0.118  0.964  0.169
Sm  0.494  0.534  0.363
Sm  0.501  0.081  0.286
Sm  0.534  0.494  0.609
Sm  0.641  0.887  0.716
Sm  0.887  0.641  0.756
Sm  0.964  0.118  0.749
Tm  0.060  0.573  0.873
Tm  0.377  0.756  0.190
Tm  0.573  0.060  0.494
Tm  0.756  0.377  0.677

Top 10 peaks for 15 to 90 degrees two-theta, most intense first:
| d (Å) | I (rel.) |
| --- | --- |
| 2.948 | 100 |
| 2.834 | 63 |
| 2.772 | 34 |
| 2.896 | 33 |
| 2.417 | 27 |
| 2.759 | 25 |
| 1.658 | 21 |
| 1.802 | 20 |
| 1.521 | 14 |
| 3.116 | 13 |

***

Theoretical powder diffraction line list of Nd2Sm4Tm5 for Cu Kα (weighted mean of Kα1 and Kα2), from a structure optimized by DFT (GGA-PBE).
Lines closer than 0.1° are merged.

Structure:
a = 3.573 Å, b = 8.587 Å, c = 11.771 Å
α = 89.53°, β = 83.65°, γ = 89.46°
Fractional coordinates of all 11 atoms:
Nd  0.149  0.149  0.100
Nd  0.851  0.851  0.900
Sm  0.010  0.705  0.472
Sm  0.113  0.754  0.179
Sm  0.887  0.246  0.821
Sm  0.990  0.295  0.528
Tm  0.412  0.572  0.715
Tm  0.455  0.973  0.648
Tm  0.500  0.500  0.000
Tm  0.545  0.027  0.352
Tm  0.588  0.428  0.285

Top 10 peaks for 15 to 90 degrees two-theta, most intense first:
| d (Å) | I (rel.) |
| --- | --- |
| 2.784 | 100 |
| 2.876 | 69 |
| 2.774 | 54 |
| 2.748 | 48 |
| 3.072 | 33 |
| 2.896 | 26 |
| 1.846 | 18 |
| 2.702 | 18 |
| 2.725 | 15 |
| 2.492 | 12 |

***

Theoretical powder diffraction line list of Nd6Sm8Tm for Cu Kα (weighted mean of Kα1 and Kα2), from a structure optimized by DFT (GGA-PBE).
Lines closer than 0.1° are merged.

Structure:
a = 8.809 Å, b = 8.809 Å, c = 8.809 Å
α = 63.31°, β = 63.31°, γ = 63.31°
Fractional coordinates of all 15 atoms:
Nd  0.039  0.736  0.599
Nd  0.264  0.401  0.961
Nd  0.401  0.961  0.264
Nd  0.599  0.039  0.736
Nd  0.736  0.599  0.039
Nd  0.961  0.264  0.401
Sm  0.078  0.078  0.078
Sm  0.218  0.250  0.613
Sm  0.250  0.613  0.218
Sm  0.387  0.782  0.750
Sm  0.613  0.218  0.250
Sm  0.750  0.387  0.782
Sm  0.782  0.750  0.387
Sm  0.922  0.922  0.922
Tm  0.500  0.500  0.500

Top 10 peaks for 15 to 90 degrees two-theta, most intense first:
| d (Å) | I (rel.) |
| --- | --- |
| 2.905 | 100 |
| 2.812 | 30 |
| 2.996 | 22 |
| 2.494 | 15 |
| 1.696 | 11 |
| 2.623 | 11 |
| 1.758 | 10 |
| 1.567 | 10 |
| 2.792 | 9 |
| 1.747 | 7 |

***

Theoretical powder diffraction line list of Nd5Sm2Tm3 for Cu Kα (weighted mean of Kα1 and Kα2), from a structure optimized by DFT (GGA-PBE).
Lines closer than 0.1° are merged.

Structure:
a = 9.248 Å, b = 9.248 Å, c = 9.977 Å
α = 108.37°, β = 108.37°, γ = 108.45°
Fractional coordinates of all 20 atoms:
Nd  0.023  0.977  0.750
Nd  0.122  0.364  0.738
Nd  0.229  0.771  0.750
Nd  0.271  0.729  0.250
Nd  0.364  0.122  0.238
Nd  0.636  0.878  0.762
Nd  0.729  0.271  0.750
Nd  0.771  0.229  0.250
Nd  0.878  0.636  0.262
Nd  0.977  0.023  0.250
Sm  0.228  0.471  0.444
Sm  0.471  0.228  0.944
Sm  0.529  0.772  0.056
Sm  0.772  0.529  0.556
Tm  0.034  0.281  0.056
Tm  0.281  0.034  0.556
Tm  0.478  0.522  0.250
Tm  0.522  0.478  0.750
Tm  0.719  0.966  0.444
Tm  0.966  0.719  0.944

Top 10 peaks for 15 to 90 degrees two-theta, most intense first:
| d (Å) | I (rel.) |
| --- | --- |
| 2.894 | 100 |
| 3.034 | 95 |
| 2.703 | 47 |
| 2.487 | 24 |
| 2.798 | 22 |
| 1.866 | 22 |
| 1.595 | 17 |
| 2.270 | 17 |
| 2.624 | 17 |
| 1.477 | 14 |

***

Theoretical powder diffraction line list of Nd3Sm6Tm for Cu Kα (weighted mean of Kα1 and Kα2), from a structure optimized by DFT (GGA-PBE).
Lines closer than 0.1° are merged.

Structure:
a = 6.714 Å, b = 6.714 Å, c = 9.222 Å
α = 105.59°, β = 105.59°, γ = 60.86°
Fractional coordinates of all 10 atoms:
Nd  0.000  0.000  0.000
Nd  0.073  0.073  0.670
Nd  0.927  0.927  0.330
Sm  0.053  0.570  0.697
Sm  0.376  0.376  0.082
Sm  0.430  0.947  0.303
Sm  0.570  0.053  0.697
Sm  0.624  0.624  0.918
Sm  0.947  0.430  0.303
Tm  0.500  0.500  0.500

Top 10 peaks for 15 to 90 degrees two-theta, most intense first:
| d (Å) | I (rel.) |
| --- | --- |
| 2.893 | 100 |
| 2.795 | 39 |
| 2.999 | 30 |
| 2.686 | 21 |
| 3.246 | 17 |
| 1.670 | 16 |
| 2.921 | 13 |
| 3.025 | 12 |
| 2.747 | 11 |
| 1.623 | 11 |

***

Theoretical powder diffraction line list of Nd4SmTm7 for Cu Kα (weighted mean of Kα1 and Kα2), from a structure optimized by DFT (GGA-PBE).
Lines closer than 0.1° are merged.

Structure:
a = 7.099 Å, b = 7.923 Å, c = 7.970 Å
α = 72.94°, β = 77.54°, γ = 63.81°
Fractional coordinates of all 12 atoms:
Nd  0.083  0.169  0.332
Nd  0.335  0.665  0.332
Nd  0.665  0.335  0.668
Nd  0.917  0.831  0.668
Sm  0.500  0.000  0.000
Tm  0.000  0.000  0.000
Tm  0.167  0.331  0.669
Tm  0.249  0.502  0.999
Tm  0.416  0.834  0.668
Tm  0.584  0.166  0.332
Tm  0.751  0.498  0.001
Tm  0.833  0.669  0.331

Top 10 peaks for 15 to 90 degrees two-theta, most intense first:
| d (Å) | I (rel.) |
| --- | --- |
| 2.909 | 100 |
| 2.524 | 45 |
| 2.897 | 33 |
| 2.502 | 22 |
| 1.521 | 19 |
| 1.783 | 16 |
| 1.776 | 16 |
| 1.518 | 10 |
| 1.514 | 9 |
| 1.509 | 9 |

***

Theoretical powder diffraction line list of NdSm6Tm6 for Cu Kα (weighted mean of Kα1 and Kα2), from a structure optimized by DFT (GGA-PBE).
Lines closer than 0.1° are merged.

Structure:
a = 6.605 Å, b = 6.605 Å, c = 11.055 Å
α = 90.00°, β = 90.00°, γ = 115.34°
Fractional coordinates of all 13 atoms:
Nd  0.000  0.000  0.000
Sm  0.000  0.000  0.332
Sm  0.000  0.000  0.668
Sm  0.266  0.734  0.500
Sm  0.358  0.642  0.000
Sm  0.642  0.358  0.000
Sm  0.734  0.266  0.500
Tm  0.000  0.500  0.226
Tm  0.000  0.500  0.774
Tm  0.500  0.000  0.226
Tm  0.500  0.000  0.774
Tm  0.500  0.500  0.299
Tm  0.500  0.500  0.701

Top 10 peaks for 15 to 90 degrees two-theta, most intense first:
| d (Å) | I (rel.) |
| --- | --- |
| 2.626 | 100 |
| 2.981 | 91 |
| 3.075 | 70 |
| 2.791 | 38 |
| 2.828 | 29 |
| 2.550 | 28 |
| 2.764 | 28 |
| 1.556 | 23 |
| 2.491 | 22 |
| 1.532 | 21 |

***

Theoretical powder diffraction line list of Nd5Sm2Tm4 for Cu Kα (weighted mean of Kα1 and Kα2), from a structure optimized by DFT (GGA-PBE).
Lines closer than 0.1° are merged.

Structure:
a = 12.744 Å, b = 12.744 Å, c = 12.744 Å
α = 164.06°, β = 137.98°, γ = 45.22°
Fractional coordinates of all 11 atoms:
Nd  0.000  0.000  0.000
Nd  0.056  0.356  0.700
Nd  0.344  0.644  0.700
Nd  0.656  0.356  0.300
Nd  0.944  0.644  0.300
Sm  0.269  0.769  0.500
Sm  0.731  0.231  0.500
Tm  0.317  0.500  0.817
Tm  0.404  0.904  0.500
Tm  0.596  0.096  0.500
Tm  0.683  0.500  0.183

Top 10 peaks for 15 to 90 degrees two-theta, most intense first:
| d (Å) | I (rel.) |
| --- | --- |
| 2.776 | 100 |
| 2.840 | 65 |
| 2.976 | 53 |
| 2.435 | 48 |
| 2.523 | 39 |
| 3.174 | 37 |
| 2.941 | 33 |
| 1.519 | 31 |
| 2.148 | 30 |
| 1.500 | 30 |

***

Theoretical powder diffraction line list of Nd8Sm2Tm3 for Cu Kα (weighted mean of Kα1 and Kα2), from a structure optimized by DFT (GGA-PBE).
Lines closer than 0.1° are merged.

Structure:
a = 7.720 Å, b = 5.700 Å, c = 10.998 Å
α = 90.00°, β = 110.52°, γ = 90.00°
Fractional coordinates of all 13 atoms:
Nd  0.100  0.000  0.292
Nd  0.172  0.500  0.843
Nd  0.307  0.000  0.708
Nd  0.371  0.500  0.242
Nd  0.629  0.500  0.758
Nd  0.693  0.000  0.292
Nd  0.828  0.500  0.157
Nd  0.900  0.000  0.708
Sm  0.261  0.000  0.021
Sm  0.739  0.000  0.979
Tm  0.215  0.500  0.500
Tm  0.500  0.000  0.500
Tm  0.785  0.500  0.500

Top 10 peaks for 15 to 90 degrees two-theta, most intense first:
| d (Å) | I (rel.) |
| --- | --- |
| 2.716 | 100 |
| 2.850 | 44 |
| 3.065 | 41 |
| 2.941 | 35 |
| 3.615 | 23 |
| 1.618 | 21 |
| 2.238 | 13 |
| 1.401 | 12 |
| 1.467 | 12 |
| 2.554 | 11 |